Entry 1:
Diffraction record for Cs5AsO. The X-ray diffraction stick pattern is simulated, not measured: it uses a cell relaxed with PBE and Cu Ka.

a = 8.827 Å, b = 8.827 Å, c = 11.738 Å
α = 108.44°, β = 108.44°, γ = 55.03°
Sites, in units of the cell vectors:
Cs 0.064 0.936 0.750
Cs 0.112 0.622 0.410
Cs 0.151 0.609 0.962
Cs 0.378 0.888 0.090
Cs 0.391 0.849 0.538
Cs 0.609 0.151 0.462
Cs 0.622 0.112 0.910
Cs 0.849 0.391 0.038
Cs 0.888 0.378 0.590
Cs 0.936 0.064 0.250
As 0.486 0.514 0.250
As 0.514 0.486 0.750
O 0.000 0.000 0.000
O 0.000 0.000 0.500

The 10 most intense peaks (5 to 70 degrees two-theta), low angle first:
d/Å, 2θ (°), Rel. int.
7.314, 12.1, 51
4.078, 21.8, 30
3.787, 23.5, 70
3.715, 24.0, 71
3.567, 25.0, 43
3.272, 27.3, 76
3.256, 27.4, 81
2.934, 30.5, 54
2.722, 32.9, 100
1.982, 45.8, 36

=====

Entry 2:
Diffraction record for AcZn7. The X-ray diffraction stick pattern is simulated, not measured: it uses a cell relaxed with PBE and Cu Ka.

a = 6.482 Å, b = 6.482 Å, c = 6.482 Å
α = 141.82°, β = 112.90°, γ = 79.91°
Sites, in units of the cell vectors:
Ac 0.000 0.000 0.000
Zn 0.177 0.359 0.818
Zn 0.252 0.752 0.500
Zn 0.460 0.641 0.818
Zn 0.500 0.000 0.500
Zn 0.540 0.359 0.182
Zn 0.748 0.248 0.500
Zn 0.823 0.641 0.182

The 10 most intense peaks (5 to 70 degrees two-theta), low angle first:
d/Å, 2θ (°), Rel. int.
3.582, 24.9, 20
3.007, 29.7, 28
2.941, 30.4, 56
2.638, 34.0, 100
2.610, 34.4, 84
2.322, 38.8, 21
2.120, 42.6, 41
2.042, 44.4, 52
1.919, 47.4, 28
1.471, 63.2, 35

=====

Entry 3:
Diffraction record for Mg4Ga2Ag. The X-ray diffraction stick pattern is simulated, not measured: it uses a cell relaxed with PBE and Cu Ka.

a = 5.747 Å, b = 5.747 Å, c = 4.438 Å
α = 90.00°, β = 90.00°, γ = 101.87°
Sites, in units of the cell vectors:
Mg 0.000 0.500 0.500
Mg 0.216 0.216 0.000
Mg 0.500 0.000 0.500
Mg 0.784 0.784 0.000
Ga 0.272 0.728 0.000
Ga 0.728 0.272 0.000
Ag 0.500 0.500 0.500

The 10 most intense peaks (5 to 70 degrees two-theta), low angle first:
d/Å, 2θ (°), Rel. int.
5.624, 15.8, 53
3.622, 24.6, 16
3.484, 25.6, 25
3.147, 28.4, 20
2.375, 37.9, 100
2.339, 38.5, 26
2.231, 40.4, 19
2.219, 40.7, 22
1.811, 50.4, 10
1.573, 58.7, 12